For Ce12SmTh7, the PBE geometry in Alexandria gives the simulated powder XRD pattern in this record (a wavelength of 1.5418 Å).
Intensities are scaled so that the largest is 100.

Most intense lines, 2θ from 10° to 80°, sorted by position:
2θ/deg	I_rel
22.69	90
25.41	37
27.88	31
30.17	32
32.31	100
39.85	98
46.34	50
50.78	25
62.73	41
72.34	52

Structure:
```
20
Lattice="-5.542 5.542 5.542 5.542 -5.542 5.542 5.542 5.542 -5.542" Properties=species:S:1:pos:R:3 pbc="T T T"
Ce 5.542 -2.169 3.211
Ce 3.373 2.330 0.000
Ce 7.711 2.330 0.000
Ce 3.211 5.542 -2.169
Ce 2.330 0.000 3.373
Ce 5.542 2.169 3.211
Ce 0.000 3.373 2.330
Ce 3.211 5.542 2.169
Ce 2.330 0.000 7.711
Ce -2.169 3.211 5.542
Ce 2.169 3.211 5.542
Ce 0.000 7.711 2.330
Sm 0.000 0.000 0.000
Th 2.771 2.771 -2.771
Th 2.771 -2.771 2.771
Th 5.542 0.000 0.000
Th -2.771 2.771 2.771
Th 0.000 5.542 0.000
Th 0.000 0.000 5.542
Th 2.771 2.771 2.771
```